(1)
Dy5Se5S2: simulated X-ray diffraction stick pattern (Cu Kα, 1.54184 Å), based on a DFT-relaxed cell (PBE, Alexandria).
Kinematic intensities with the Lorentz-polarization factor, no thermal factor.

Crystal structure
```
data_Dy5Se5S2
_chemical_formula_sum 'Dy10 Se10 S4'
_space_group_name_H-M_alt 'C 1 2/m 1'
_space_group_IT_number 12
_cell_length_a 13.2633
_cell_length_b 3.9497
_cell_length_c 11.9424
_cell_angle_alpha 90.00
_cell_angle_beta 105.33
_cell_angle_gamma 90.00
loop_
_space_group_symop_operation_xyz
'x,y,z'
'-x,-y,-z'
'-x,y,-z'
'x,-y,z'
'x+1/2,y+1/2,z'
'-x+1/2,-y+1/2,-z'
'-x+1/2,y+1/2,-z'
'x+1/2,-y+1/2,z'
loop_
_atom_site_label
_atom_site_fract_x
_atom_site_fract_y
_atom_site_fract_z
_atom_site_occupancy
Dy1 0.0000 0.0000 0.0000 1
Dy2 0.1097 0.0000 0.4136 1
Dy3 0.1902 0.5000 0.8083 1
Se1 0.0000 0.5000 0.5000 1
Se2 0.1615 0.5000 0.0519 1
Se3 0.2442 0.5000 0.3522 1
S1 0.0406 0.0000 0.7885 1
```

Largest 8 diffraction maxima, most intense first, 15° ≤ 2θ ≤ 90°:
Position (°2θ), d (Å), Rel. int.
30.44, 2.937, 100.0
23.36, 3.808, 85.3
23.65, 3.762, 68.9
31.98, 2.798, 64.0
37.80, 2.380, 49.6
45.96, 1.975, 40.9
33.21, 2.698, 36.0
30.86, 2.897, 30.6

---

(2)
Dy3Se3S: simulated X-ray diffraction stick pattern (Cu Kα, 1.54184 Å), based on a DFT-relaxed cell (PBE, Alexandria).
Kinematic intensities with the Lorentz-polarization factor, no thermal factor.

Crystal structure
```
data_Dy3Se3S
_chemical_formula_sum 'Dy9 Se9 S3'
_space_group_name_H-M_alt 'R 3 m'
_space_group_IT_number 160
_space_group_name_Hall 'R 3 -2"'
_cell_length_a 8.7786
_cell_length_b 8.7786
_cell_length_c 7.4845
_cell_angle_alpha 90.00
_cell_angle_beta 90.00
_cell_angle_gamma 120.00
loop_
_atom_site_label
_atom_site_fract_x
_atom_site_fract_y
_atom_site_fract_z
_atom_site_occupancy
Dy1 0.1709 0.3419 0.0000 1
Se1 0.2013 0.4026 0.3989 1
S1 0.0000 0.0000 0.1534 1
```

Largest 8 diffraction maxima, most intense first, 15° ≤ 2θ ≤ 90°:
Position (°2θ), d (Å), Rel. int.
33.61, 2.667, 100.0
41.13, 2.195, 61.8
26.30, 3.389, 50.7
55.79, 1.648, 32.3
33.40, 2.683, 29.0
20.23, 4.389, 28.1
36.00, 2.495, 25.0
35.42, 2.534, 24.9

---

(3)
Dy7Se5S: simulated X-ray diffraction stick pattern (Cu Kα, 1.54184 Å), based on a DFT-relaxed cell (PBE, Alexandria).
Kinematic intensities with the Lorentz-polarization factor, no thermal factor.

Crystal structure
```
data_Dy7Se5S
_chemical_formula_sum 'Dy28 Se20 S4'
_space_group_name_H-M_alt 'C 1 2/m 1'
_space_group_IT_number 12
_cell_length_a 13.2357
_cell_length_b 3.9273
_cell_length_c 24.4635
_cell_angle_alpha 90.00
_cell_angle_beta 91.73
_cell_angle_gamma 90.00
loop_
_space_group_symop_operation_xyz
'x,y,z'
'-x,-y,-z'
'-x,y,-z'
'x,-y,z'
'x+1/2,y+1/2,z'
'-x+1/2,-y+1/2,-z'
'-x+1/2,y+1/2,-z'
'x+1/2,-y+1/2,z'
loop_
_atom_site_label
_atom_site_fract_x
_atom_site_fract_y
_atom_site_fract_z
_atom_site_occupancy
Dy1 0.0371 0.0000 0.2522 1
Dy2 0.0710 0.5000 0.3891 1
Dy3 0.0916 0.5000 0.1169 1
Dy4 0.1370 0.0000 0.9617 1
Dy5 0.1432 0.0000 0.5384 1
Dy6 0.1972 0.5000 0.8212 1
Dy7 0.2156 0.5000 0.6826 1
Se1 0.0000 0.5000 0.0000 1
Se2 0.0000 0.5000 0.5000 1
Se3 0.0526 0.0000 0.8539 1
Se4 0.0723 0.0000 0.6470 1
Se5 0.2149 0.0000 0.4277 1
Se6 0.2211 0.0000 0.0713 1
S1 0.1812 0.5000 0.2246 1
```

Largest 8 diffraction maxima, most intense first, 15° ≤ 2θ ≤ 90°:
Position (°2θ), d (Å), Rel. int.
31.51, 2.839, 100.0
32.65, 2.743, 100.0
31.22, 2.865, 91.7
32.23, 2.777, 88.7
29.27, 3.051, 86.3
46.23, 1.964, 82.7
28.53, 3.128, 77.9
30.78, 2.905, 71.8

---

(4)
Dy3SeS3: simulated X-ray diffraction stick pattern (Cu Kα, 1.54184 Å), based on a DFT-relaxed cell (PBE, Alexandria).
Kinematic intensities with the Lorentz-polarization factor, no thermal factor.

Crystal structure
```
data_Dy3SeS3
_chemical_formula_sum 'Dy24 Se8 S24'
_space_group_name_H-M_alt 'I 41 3 2'
_space_group_IT_number 214
_space_group_name_Hall 'I 4bd 2c 3'
_cell_length_a 11.2475
_cell_length_b 11.2475
_cell_length_c 11.2475
_cell_angle_alpha 90.00
_cell_angle_beta 90.00
_cell_angle_gamma 90.00
loop_
_atom_site_label
_atom_site_fract_x
_atom_site_fract_y
_atom_site_fract_z
_atom_site_occupancy
Dy1 0.1149 0.1250 0.8649 1
Se1 0.1250 0.1250 0.1250 1
S1 0.1188 0.3750 0.3688 1
```

Largest 8 diffraction maxima, most intense first, 15° ≤ 2θ ≤ 90°:
Position (°2θ), d (Å), Rel. int.
31.82, 2.812, 100.0
45.63, 1.988, 70.0
27.47, 3.247, 38.5
75.62, 1.258, 28.1
25.04, 3.557, 25.6
56.70, 1.623, 23.5
84.38, 1.148, 20.8
19.33, 4.592, 20.2

---

(5)
Dy4SeS3: simulated X-ray diffraction stick pattern (Cu Kα, 1.54184 Å), based on a DFT-relaxed cell (PBE, Alexandria).
Kinematic intensities with the Lorentz-polarization factor, no thermal factor.

Crystal structure
```
data_Dy4SeS3
_chemical_formula_sum 'Dy4 Se1 S3'
_space_group_name_H-M_alt 'P m -3 m'
_space_group_IT_number 221
_space_group_name_Hall '-P 4 2 3'
_cell_length_a 5.5876
_cell_length_b 5.5876
_cell_length_c 5.5876
_cell_angle_alpha 90.00
_cell_angle_beta 90.00
_cell_angle_gamma 90.00
loop_
_atom_site_label
_atom_site_fract_x
_atom_site_fract_y
_atom_site_fract_z
_atom_site_occupancy
Dy1 0.0000 0.0000 0.0000 1
Dy2 0.0000 0.5000 0.5000 1
Se1 0.5000 0.5000 0.5000 1
S1 0.0000 0.0000 0.5000 1
```

Largest 8 diffraction maxima, most intense first, 15° ≤ 2θ ≤ 90°:
Position (°2θ), d (Å), Rel. int.
32.04, 2.794, 100.0
45.94, 1.975, 72.6
27.65, 3.226, 60.2
76.20, 1.249, 32.4
54.46, 1.685, 29.5
57.10, 1.613, 25.2
85.05, 1.141, 24.9
73.94, 1.282, 12.0

---

(6)
Dy4Se3S: simulated X-ray diffraction stick pattern (Cu Kα, 1.54184 Å), based on a DFT-relaxed cell (PBE, Alexandria).
Kinematic intensities with the Lorentz-polarization factor, no thermal factor.

Crystal structure
```
data_Dy4Se3S
_chemical_formula_sum 'Dy4 Se3 S1'
_space_group_name_H-M_alt 'P m -3 m'
_space_group_IT_number 221
_space_group_name_Hall '-P 4 2 3'
_cell_length_a 5.7081
_cell_length_b 5.7081
_cell_length_c 5.7081
_cell_angle_alpha 90.00
_cell_angle_beta 90.00
_cell_angle_gamma 90.00
loop_
_atom_site_label
_atom_site_fract_x
_atom_site_fract_y
_atom_site_fract_z
_atom_site_occupancy
Dy1 0.0000 0.0000 0.0000 1
Dy2 0.0000 0.5000 0.5000 1
Se1 0.0000 0.0000 0.5000 1
S1 0.5000 0.5000 0.5000 1
```

Largest 8 diffraction maxima, most intense first, 15° ≤ 2θ ≤ 90°:
Position (°2θ), d (Å), Rel. int.
31.34, 2.854, 100.0
44.92, 2.018, 73.7
74.31, 1.276, 33.1
27.06, 3.296, 30.9
55.79, 1.648, 25.8
82.85, 1.165, 25.1
53.22, 1.721, 15.3
65.40, 1.427, 12.0